For Nb3Cl6O8, a DFT-relaxed cell (PBE, the Materials Project) gives the theoretical PXRD pattern in this record (CuKα).

Largest 12 diffraction maxima, sorted by position, 2θ from 5° to 70°:
2θ (°), d [Å], I (rel.), h k l
9.20, 9.610, 100.0, 1 1 1
10.63, 8.323, 21.6, 2 0 0
21.35, 4.161, 14.7, 4 0 0
23.29, 3.819, 5.0, 3 3 1
26.23, 3.398, 7.7, 4 2 2
27.85, 3.203, 5.4, 3 3 3
31.80, 2.814, 5.2, 5 3 1
32.27, 2.774, 16.7, 6 0 0
35.36, 2.538, 12.9, 5 3 3
38.63, 2.331, 5.3, 7 1 1
41.68, 2.167, 5.1, 5 5 3
54.88, 1.673, 6.8, 7 7 1

Structure:
```
data_Nb3Cl6O8
_chemical_formula_sum 'Nb24 Cl48 O64'
_cell_length_a 16.6455
_cell_length_b 16.6455
_cell_length_c 16.6455
_cell_angle_alpha 90.00
_cell_angle_beta 90.00
_cell_angle_gamma 90.00
_space_group_name_H-M_alt 'F m -3 m'
_space_group_IT_number 225
_space_group_name_Hall '-F 4 2 3'
loop_
_atom_site_label
_atom_site_fract_x
_atom_site_fract_y
_atom_site_fract_z
Nb1 0.0000 0.0000 0.1371
Cl1 0.0000 0.2078 0.2078
O1 0.0000 0.0000 0.2412
O2 0.0795 0.0795 0.0795
O3 0.2500 0.2500 0.2500
```